The following is a calculated XRD peak list of La2Os. It was derived from a PBE-relaxed structure, using CuKα.
Peak positions follow from Bragg's law for the DFT cell and can differ from measured ones.

Main lines, by angle (5° ≤ 2θ ≤ 70°):
Position (°2θ), I/Imax
13.81, 53
27.95, 100
37.19, 60
42.54, 41
49.29, 27
51.67, 20

Structural model:
```
La2Os
1.0
4.2500 0.0000 0.0000
-2.1250 3.6806 0.0000
0.0000 0.0000 6.4136
La Os
2 1
direct
0.3333 0.6667 0.2725
0.6667 0.3333 0.7275
0.0000 0.0000 0.5000
```

---

The following is a calculated XRD peak list of Rb5Ga. It was derived from a PBE-relaxed structure, using CuKα.
Peak positions follow from Bragg's law for the DFT cell and can differ from measured ones.

Main lines, by angle (5° ≤ 2θ ≤ 70°):
Position (°2θ), I/Imax
23.89, 100
25.19, 26
26.19, 12
31.23, 15
40.54, 14
43.60, 20

Structural model:
```
Rb5Ga
1.0
2.8640 -10.2076 0.0000
2.8640 10.2076 0.0000
0.0000 0.0000 7.0708
Rb Ga
5 1
direct
0.0000 0.0000 0.0000
0.1317 0.8683 0.5000
0.3415 0.6585 0.0000
0.6585 0.3415 0.0000
0.8683 0.1317 0.5000
0.5000 0.5000 0.5000
```